# Tm3Ni13C2
Computed powder diffractogram, a wavelength of 1.5418 Å. Input: a structure optimized by DFT (PBE).
Intensities are scaled so that the largest is 100.

Most intense lines, 10° ≤ 2θ ≤ 90°, sorted by position:
32.6°, d = 2.744 Å, intensity 77
36.4°, d = 2.466 Å, intensity 36
42.1°, d = 2.149 Å, intensity 12
42.3°, d = 2.136 Å, intensity 61
44.6°, d = 2.031 Å, intensity 100
63.2°, d = 1.472 Å, intensity 24
64.3°, d = 1.449 Å, intensity 17
68.4°, d = 1.372 Å, intensity 11
71.3°, d = 1.323 Å, intensity 24
77.4°, d = 1.233 Å, intensity 20

Atomic structure:
a = 4.933 Å, b = 4.933 Å, c = 10.743 Å
α = 90.00°, β = 90.00°, γ = 120.00°
Sites, in units of the cell vectors:
Tm: 0.000 0.000 0.000
Tm: 0.000 0.000 0.329
Tm: 0.000 0.000 0.671
Ni: 0.000 0.500 0.126
Ni: 0.000 0.500 0.500
Ni: 0.000 0.500 0.874
Ni: 0.333 0.667 0.316
Ni: 0.333 0.667 0.684
Ni: 0.500 0.000 0.126
Ni: 0.500 0.000 0.500
Ni: 0.500 0.000 0.874
Ni: 0.500 0.500 0.126
Ni: 0.500 0.500 0.500
Ni: 0.500 0.500 0.874
Ni: 0.667 0.333 0.316
Ni: 0.667 0.333 0.684
C: 0.333 0.667 0.000
C: 0.667 0.333 0.000

# GdBi2O4F
Computed powder diffractogram, a wavelength of 1.5418 Å. Input: a structure optimized by DFT (PBE).
Intensities are scaled so that the largest is 100.

Most intense lines, 10° ≤ 2θ ≤ 90°, sorted by position:
23.3°, d = 3.818 Å, intensity 22
25.6°, d = 3.481 Å, intensity 45
31.5°, d = 2.837 Å, intensity 100
31.6°, d = 2.827 Å, intensity 15
33.2°, d = 2.699 Å, intensity 46
46.5°, d = 1.952 Å, intensity 38
47.6°, d = 1.909 Å, intensity 26
58.3°, d = 1.583 Å, intensity 48
59.6°, d = 1.550 Å, intensity 20
79.7°, d = 1.203 Å, intensity 18

Atomic structure:
a = 3.818 Å, b = 3.818 Å, c = 8.482 Å
α = 90.00°, β = 90.00°, γ = 90.00°
Sites, in units of the cell vectors:
Gd: 0.000 0.000 0.000
Bi: 0.500 0.500 0.300
Bi: 0.500 0.500 0.700
O: 0.000 0.500 0.166
O: 0.000 0.500 0.834
O: 0.500 0.000 0.166
O: 0.500 0.000 0.834
F: 0.000 0.000 0.500

# Sr3B2PdPt6
Computed powder diffractogram, a wavelength of 1.5418 Å. Input: a structure optimized by DFT (PBE).
Intensities are scaled so that the largest is 100.

Most intense lines, 10° ≤ 2θ ≤ 90°, sorted by position:
18.6°, d = 4.776 Å, intensity 33
32.5°, d = 2.752 Å, intensity 29
34.6°, d = 2.593 Å, intensity 35
35.9°, d = 2.503 Å, intensity 38
37.1°, d = 2.426 Å, intensity 100
37.7°, d = 2.388 Å, intensity 65
39.5°, d = 2.281 Å, intensity 49
46.1°, d = 1.969 Å, intensity 38
48.7°, d = 1.871 Å, intensity 26
66.4°, d = 1.408 Å, intensity 33

Atomic structure:
a = 8.430 Å, b = 8.430 Å, c = 8.430 Å
α = 39.04°, β = 39.04°, γ = 39.04°
Sites, in units of the cell vectors:
Sr: 0.000 0.000 0.000
Sr: 0.144 0.144 0.144
Sr: 0.856 0.856 0.856
B: 0.331 0.331 0.331
B: 0.669 0.669 0.669
Pd: 0.500 0.500 0.500
Pt: 0.067 0.563 0.563
Pt: 0.437 0.437 0.933
Pt: 0.437 0.933 0.437
Pt: 0.563 0.067 0.563
Pt: 0.563 0.563 0.067
Pt: 0.933 0.437 0.437

# Dy6LuTe2Pd2
Computed powder diffractogram, a wavelength of 1.5418 Å. Input: a structure optimized by DFT (PBE).
Intensities are scaled so that the largest is 100.

Most intense lines, 10° ≤ 2θ ≤ 90°, sorted by position:
28.4°, d = 3.145 Å, intensity 18
29.9°, d = 2.993 Å, intensity 71
32.6°, d = 2.744 Å, intensity 59
33.6°, d = 2.671 Å, intensity 100
34.0°, d = 2.636 Å, intensity 45
34.3°, d = 2.617 Å, intensity 14
36.0°, d = 2.493 Å, intensity 22
37.9°, d = 2.376 Å, intensity 20
46.2°, d = 1.966 Å, intensity 35
57.7°, d = 1.599 Å, intensity 23

Atomic structure:
a = 9.429 Å, b = 9.429 Å, c = 9.429 Å
α = 155.92°, β = 67.22°, γ = 118.31°
Sites, in units of the cell vectors:
Dy: 0.111 0.793 0.318
Dy: 0.129 0.000 0.129
Dy: 0.474 0.793 0.682
Dy: 0.508 0.151 0.358
Dy: 0.793 0.151 0.642
Dy: 0.871 0.000 0.871
Lu: 0.417 0.417 0.000
Te: 0.153 0.653 0.500
Te: 0.755 0.755 0.000
Pd: 0.252 0.488 0.764
Pd: 0.724 0.488 0.236

# Sm2PuS3
Computed powder diffractogram, a wavelength of 1.5418 Å. Input: a structure optimized by DFT (PBE).
Intensities are scaled so that the largest is 100.

Most intense lines, 10° ≤ 2θ ≤ 90°, sorted by position:
27.4°, d = 3.251 Å, intensity 89
31.8°, d = 2.815 Å, intensity 100
45.6°, d = 1.990 Å, intensity 61
54.0°, d = 1.699 Å, intensity 30
54.1°, d = 1.696 Å, intensity 15
56.6°, d = 1.627 Å, intensity 13
56.7°, d = 1.624 Å, intensity 13
73.3°, d = 1.291 Å, intensity 15
75.5°, d = 1.259 Å, intensity 16
84.3°, d = 1.149 Å, intensity 17

Atomic structure:
a = 6.905 Å, b = 6.905 Å, c = 6.905 Å
α = 146.50°, β = 131.94°, γ = 59.85°
Sites, in units of the cell vectors:
Sm: 0.169 0.169 0.000
Sm: 0.831 0.831 0.000
Pu: 0.500 0.500 0.000
S: 0.000 0.500 0.500
S: 0.337 0.837 0.500
S: 0.663 0.163 0.500

# K2Pr2B2O7
Computed powder diffractogram, a wavelength of 1.5418 Å. Input: a structure optimized by DFT (PBE).
Intensities are scaled so that the largest is 100.

Most intense lines, 10° ≤ 2θ ≤ 90°, sorted by position:
24.5°, d = 3.632 Å, intensity 39
27.1°, d = 3.288 Å, intensity 80
28.5°, d = 3.133 Å, intensity 47
28.7°, d = 3.106 Å, intensity 100
28.9°, d = 3.090 Å, intensity 55
31.3°, d = 2.862 Å, intensity 97
31.4°, d = 2.846 Å, intensity 55
31.7°, d = 2.820 Å, intensity 94
42.1°, d = 2.144 Å, intensity 49
49.9°, d = 1.828 Å, intensity 36

Atomic structure:
a = 11.315 Å, b = 6.593 Å, c = 10.692 Å
α = 90.00°, β = 117.16°, γ = 90.00°
Sites, in units of the cell vectors:
K: 0.033 0.062 0.265
K: 0.033 0.438 0.765
K: 0.119 0.744 0.056
K: 0.119 0.756 0.556
K: 0.881 0.244 0.444
K: 0.881 0.256 0.944
K: 0.967 0.562 0.235
K: 0.967 0.938 0.735
Pr: 0.322 0.083 0.915
Pr: 0.322 0.417 0.415
Pr: 0.482 0.541 0.180
Pr: 0.482 0.959 0.680
Pr: 0.518 0.041 0.320
Pr: 0.518 0.459 0.820
Pr: 0.678 0.583 0.585
Pr: 0.678 0.917 0.085
B: 0.195 0.247 0.088
B: 0.195 0.253 0.588
B: 0.304 0.656 0.855
B: 0.304 0.844 0.355
B: 0.696 0.156 0.645
B: 0.696 0.344 0.145
B: 0.805 0.747 0.412
B: 0.805 0.753 0.912
O: 0.120 0.149 0.963
O: 0.120 0.351 0.463
O: 0.142 0.150 0.664
O: 0.142 0.350 0.164
O: 0.198 0.749 0.859
O: 0.198 0.751 0.359
O: 0.334 0.240 0.138
O: 0.334 0.260 0.638
O: 0.351 0.035 0.414
O: 0.351 0.465 0.914
O: 0.367 0.745 0.287
O: 0.367 0.755 0.787
O: 0.472 0.623 0.597
O: 0.472 0.877 0.097
O: 0.528 0.123 0.903
O: 0.528 0.377 0.403
O: 0.633 0.245 0.213
O: 0.633 0.255 0.713
O: 0.649 0.535 0.086
O: 0.649 0.965 0.586
O: 0.666 0.740 0.362
O: 0.666 0.760 0.862
O: 0.802 0.249 0.641
O: 0.802 0.251 0.141
O: 0.858 0.650 0.836
O: 0.858 0.850 0.336
O: 0.880 0.649 0.537
O: 0.880 0.851 0.037

# AgHgSO
Computed powder diffractogram, a wavelength of 1.5418 Å. Input: a structure optimized by DFT (PBE).
Intensities are scaled so that the largest is 100.

Most intense lines, 10° ≤ 2θ ≤ 90°, sorted by position:
19.4°, d = 4.577 Å, intensity 20
26.4°, d = 3.377 Å, intensity 27
28.7°, d = 3.112 Å, intensity 36
30.1°, d = 2.965 Å, intensity 31
33.0°, d = 2.716 Å, intensity 100
39.4°, d = 2.288 Å, intensity 30
40.5°, d = 2.228 Å, intensity 16
41.7°, d = 2.167 Å, intensity 15
53.6°, d = 1.710 Å, intensity 20
58.3°, d = 1.584 Å, intensity 21

Atomic structure:
a = 6.225 Å, b = 6.744 Å, c = 6.755 Å
α = 90.00°, β = 90.00°, γ = 90.00°
Sites, in units of the cell vectors:
Ag: 0.016 0.087 0.331
Ag: 0.484 0.913 0.831
Ag: 0.516 0.413 0.669
Ag: 0.984 0.587 0.169
Hg: 0.026 0.207 0.801
Hg: 0.474 0.793 0.301
Hg: 0.526 0.293 0.199
Hg: 0.974 0.707 0.699
S: 0.175 0.435 0.465
S: 0.325 0.565 0.965
S: 0.675 0.065 0.535
S: 0.825 0.935 0.035
O: 0.191 0.958 0.652
O: 0.309 0.042 0.152
O: 0.691 0.542 0.348
O: 0.809 0.458 0.848

# GdYIn3Si2
Computed powder diffractogram, a wavelength of 1.5418 Å. Input: a structure optimized by DFT (PBE).
Intensities are scaled so that the largest is 100.

Most intense lines, 10° ≤ 2θ ≤ 90°, sorted by position:
12.8°, d = 6.899 Å, intensity 13
33.0°, d = 2.717 Å, intensity 59
33.2°, d = 2.695 Å, intensity 100
33.5°, d = 2.678 Å, intensity 28
34.3°, d = 2.616 Å, intensity 26
37.2°, d = 2.418 Å, intensity 41
39.2°, d = 2.296 Å, intensity 21
42.1°, d = 2.146 Å, intensity 28
54.8°, d = 1.675 Å, intensity 13
64.8°, d = 1.438 Å, intensity 15

Atomic structure:
a = 5.761 Å, b = 5.761 Å, c = 7.008 Å
α = 99.35°, β = 99.35°, γ = 43.74°
Sites, in units of the cell vectors:
Gd: 0.000 0.000 0.000
Y: 0.243 0.243 0.663
In: 0.316 0.316 0.182
In: 0.622 0.622 0.332
In: 0.927 0.927 0.481
Si: 0.529 0.529 0.712
Si: 0.714 0.714 0.949

# Rb2Hg2BiSb
Computed powder diffractogram, a wavelength of 1.5418 Å. Input: a structure optimized by DFT (PBE).
Intensities are scaled so that the largest is 100.

Most intense lines, 10° ≤ 2θ ≤ 90°, sorted by position:
16.0°, d = 5.556 Å, intensity 53
26.1°, d = 3.414 Å, intensity 100
32.2°, d = 2.778 Å, intensity 27
35.9°, d = 2.498 Å, intensity 60
39.6°, d = 2.279 Å, intensity 36
45.0°, d = 2.016 Å, intensity 23
49.0°, d = 1.858 Å, intensity 50
53.8°, d = 1.703 Å, intensity 14
58.9°, d = 1.569 Å, intensity 21
74.1°, d = 1.280 Å, intensity 15

Atomic structure:
a = 4.997 Å, b = 4.997 Å, c = 11.113 Å
α = 90.00°, β = 90.00°, γ = 120.00°
Sites, in units of the cell vectors:
Rb: 0.000 0.000 0.247
Rb: 0.000 0.000 0.753
Hg: 0.333 0.667 0.000
Hg: 0.667 0.333 0.500
Bi: 0.333 0.667 0.500
Sb: 0.667 0.333 0.000

# Sr2Si2Pt3
Computed powder diffractogram, a wavelength of 1.5418 Å. Input: a structure optimized by DFT (PBE).
Intensities are scaled so that the largest is 100.

Most intense lines, 10° ≤ 2θ ≤ 90°, sorted by position:
16.6°, d = 5.333 Å, intensity 68
24.7°, d = 3.610 Å, intensity 26
25.1°, d = 3.543 Å, intensity 74
27.0°, d = 3.308 Å, intensity 34
33.3°, d = 2.689 Å, intensity 61
37.5°, d = 2.401 Å, intensity 100
43.1°, d = 2.097 Å, intensity 96
46.5°, d = 1.952 Å, intensity 30
58.4°, d = 1.580 Å, intensity 28
75.3°, d = 1.262 Å, intensity 27

Atomic structure:
a = 10.938 Å, b = 10.938 Å, c = 10.938 Å
α = 22.11°, β = 22.11°, γ = 22.11°
Sites, in units of the cell vectors:
Sr: 0.000 0.000 0.000
Sr: 0.496 0.496 0.496
Si: 0.247 0.247 0.247
Si: 0.743 0.743 0.743
Pt: 0.403 0.403 0.403
Pt: 0.599 0.599 0.599
Pt: 0.893 0.893 0.893

# K3NbSe4
Computed powder diffractogram, a wavelength of 1.5418 Å. Input: a structure optimized by DFT (PBE).
Intensities are scaled so that the largest is 100.

Most intense lines, 10° ≤ 2θ ≤ 90°, sorted by position:
15.0°, d = 5.906 Å, intensity 100
15.7°, d = 5.647 Å, intensity 31
20.3°, d = 4.377 Å, intensity 37
25.7°, d = 3.469 Å, intensity 36
28.2°, d = 3.159 Å, intensity 54
29.0°, d = 3.081 Å, intensity 32
29.7°, d = 3.005 Å, intensity 32
30.0°, d = 2.976 Å, intensity 88
31.4°, d = 2.851 Å, intensity 41
31.7°, d = 2.824 Å, intensity 26

Atomic structure:
a = 9.729 Å, b = 11.295 Å, c = 9.872 Å
α = 90.00°, β = 90.00°, γ = 90.00°
Sites, in units of the cell vectors:
K: 0.057 0.048 0.208
K: 0.057 0.452 0.208
K: 0.128 0.750 0.415
K: 0.372 0.250 0.915
K: 0.443 0.548 0.708
K: 0.443 0.952 0.708
K: 0.557 0.048 0.292
K: 0.557 0.452 0.292
K: 0.628 0.750 0.085
K: 0.872 0.250 0.585
K: 0.943 0.548 0.792
K: 0.943 0.952 0.792
Nb: 0.214 0.750 0.985
Nb: 0.286 0.250 0.485
Nb: 0.714 0.750 0.515
Nb: 0.786 0.250 0.015
Se: 0.013 0.250 0.915
Se: 0.165 0.073 0.552
Se: 0.165 0.427 0.552
Se: 0.191 0.750 0.740
Se: 0.309 0.250 0.240
Se: 0.335 0.573 0.052
Se: 0.335 0.927 0.052
Se: 0.487 0.750 0.415
Se: 0.513 0.250 0.585
Se: 0.665 0.073 0.948
Se: 0.665 0.427 0.948
Se: 0.691 0.750 0.760
Se: 0.809 0.250 0.260
Se: 0.835 0.573 0.448
Se: 0.835 0.927 0.448
Se: 0.987 0.750 0.085

# Sr2CdIBrO2
Computed powder diffractogram, a wavelength of 1.5418 Å. Input: a structure optimized by DFT (PBE).
Intensities are scaled so that the largest is 100.

Most intense lines, 10° ≤ 2θ ≤ 90°, sorted by position:
10.2°, d = 8.632 Å, intensity 15
28.9°, d = 3.086 Å, intensity 75
33.1°, d = 2.708 Å, intensity 100
41.4°, d = 2.182 Å, intensity 37
42.1°, d = 2.147 Å, intensity 9
54.0°, d = 1.699 Å, intensity 48
60.0°, d = 1.543 Å, intensity 12
67.9°, d = 1.380 Å, intensity 13
70.2°, d = 1.341 Å, intensity 11
84.9°, d = 1.142 Å, intensity 13

Atomic structure:
a = 9.167 Å, b = 9.167 Å, c = 9.167 Å
α = 152.46°, β = 152.46°, γ = 39.35°
Sites, in units of the cell vectors:
Sr: 0.000 0.000 0.000
Sr: 0.188 0.188 0.000
Cd: 0.597 0.597 0.000
I: 0.784 0.784 0.000
Br: 0.426 0.426 0.000
O: 0.097 0.597 0.500
O: 0.597 0.097 0.500